No. 1
For MnNb4Os, DFT lattice parameters and positions (GGA-PBE) gives the calculated PXRD pattern in this record (Cu Kα (weighted mean of Kα1 and Kα2)).

Structure:
a = 4.5734 Å, b = 4.0571 Å, c = 6.1766 Å
α = 90.00°, β = 99.66°, γ = 90.00°
Sites, in units of the cell vectors:
Mn  0.0000  0.0000  0.0000
Nb  0.0239  0.5000  0.7607
Nb  0.4866  0.0000  0.2345
Nb  0.5134  0.0000  0.7655
Nb  0.9761  0.5000  0.2393
Os  0.5000  0.5000  0.5000

The 10 most intense peaks (10° ≤ 2θ ≤ 90°), sorted by position:
- 2θ 22.5, intensity 26, hkl 1 0 -1
- 2θ 26.4, intensity 43, hkl 0 1 1
- 2θ 26.5, intensity 22, hkl 1 0 1
- 2θ 34.6, intensity 15, hkl 1 1 1
- 2θ 39.6, intensity 92, hkl 1 1 -2
- 2θ 40.0, intensity 44, hkl 2 0 0
- 2θ 44.6, intensity 100, hkl 0 2 0
- 2θ 60.9, intensity 13, hkl 0 0 4
- 2θ 61.5, intensity 24, hkl 2 2 0
- 2θ 68.9, intensity 17, hkl 3 1 -2

No. 2
For SrPrGa2Pd5, DFT lattice parameters and positions (GGA-PBE) gives the calculated PXRD pattern in this record (Cu Kα (weighted mean of Kα1 and Kα2)).

Structure:
a = 4.3750 Å, b = 4.3750 Å, c = 9.1922 Å
α = 90.00°, β = 90.00°, γ = 90.00°
Sites, in units of the cell vectors:
Sr  0.0000  0.0000  0.0000
Pr  0.0000  0.0000  0.5000
Ga  0.5000  0.5000  0.3595
Ga  0.5000  0.5000  0.6405
Pd  0.0000  0.5000  0.2316
Pd  0.0000  0.5000  0.7684
Pd  0.5000  0.0000  0.2316
Pd  0.5000  0.0000  0.7684
Pd  0.5000  0.5000  0.0000

The 10 most intense peaks (10° ≤ 2θ ≤ 90°), sorted by position:
- 2θ 35.0, intensity 100, hkl 1 1 2
- 2θ 35.8, intensity 15, hkl 1 0 3
- 2θ 39.2, intensity 12, hkl 0 0 4
- 2θ 41.3, intensity 49, hkl 2 0 0
- 2θ 41.5, intensity 13, hkl 1 1 3
- 2θ 55.7, intensity 8, hkl 2 1 3
- 2θ 58.2, intensity 15, hkl 2 0 4
- 2θ 59.8, intensity 16, hkl 2 2 0
- 2θ 68.3, intensity 15, hkl 1 1 6
- 2θ 71.2, intensity 24, hkl 3 1 2